(1)
This entry pairs a crystal structure of K3Zn2PdO6 with its computed powder XRD pattern. Radiation: Cu Kα X-rays. Structure: a cell relaxed with GGA-PBE.
Lines closer than 0.1° are merged.

Top 6 peaks for 10 to 90 degrees two-theta, in order of rising 2θ:
2θ 12.86, intensity 69
2θ 30.17, intensity 100
2θ 31.29, intensity 93
2θ 44.02, intensity 39
2θ 53.58, intensity 32
2θ 54.30, intensity 43

Unit cell a=5.924 b=5.924 c=6.884 alpha=90.00 beta=90.00 gamma=120.00
Sites, in units of the cell vectors:
K 0.000 0.000 0.000
K 0.333 0.667 0.770
K 0.667 0.333 0.230
Zn 0.333 0.667 0.347
Zn 0.667 0.333 0.653
Pd 0.000 0.000 0.500
O 0.153 0.307 0.311
O 0.153 0.847 0.311
O 0.307 0.153 0.689
O 0.693 0.847 0.311
O 0.847 0.153 0.689
O 0.847 0.693 0.689

---

(2)
This entry pairs a crystal structure of PrUNi10 with its computed powder XRD pattern. Radiation: Cu Kα X-rays. Structure: a cell relaxed with GGA-PBE.
Lines closer than 0.1° are merged.

Top 6 peaks for 10 to 90 degrees two-theta, in order of rising 2θ:
2θ 30.79, intensity 61
2θ 36.77, intensity 34
2θ 42.69, intensity 23
2θ 43.42, intensity 100
2θ 45.45, intensity 26
2θ 64.14, intensity 21

Unit cell a=3.991 b=4.896 c=8.453 alpha=90.00 beta=90.00 gamma=90.00
Sites, in units of the cell vectors:
Pr 0.000 0.000 0.000
U 0.000 0.500 0.500
Ni 0.000 0.000 0.342
Ni 0.000 0.000 0.658
Ni 0.000 0.500 0.184
Ni 0.000 0.500 0.816
Ni 0.500 0.000 0.500
Ni 0.500 0.255 0.259
Ni 0.500 0.255 0.741
Ni 0.500 0.500 0.000
Ni 0.500 0.745 0.259
Ni 0.500 0.745 0.741

---

(3)
This entry pairs a crystal structure of AcLaPr2Tl4 with its computed powder XRD pattern. Radiation: Cu Kα X-rays. Structure: a cell relaxed with GGA-PBE.
Lines closer than 0.1° are merged.

Top 6 peaks for 10 to 90 degrees two-theta, in order of rising 2θ:
2θ 31.61, intensity 100
2θ 45.31, intensity 19
2θ 56.29, intensity 40
2θ 66.01, intensity 12
2θ 75.04, intensity 17
2θ 83.69, intensity 4

Unit cell a=9.800 b=9.800 c=9.800 alpha=33.59 beta=33.59 gamma=33.59
Sites, in units of the cell vectors:
Ac 0.000 0.000 0.000
La 0.500 0.500 0.500
Pr 0.250 0.250 0.250
Pr 0.750 0.750 0.750
Tl 0.127 0.127 0.127
Tl 0.377 0.377 0.377
Tl 0.623 0.623 0.623
Tl 0.873 0.873 0.873

---

(4)
This entry pairs a crystal structure of Tb6Dy2Cd with its computed powder XRD pattern. Radiation: Cu Kα X-rays. Structure: a cell relaxed with GGA-PBE.
Lines closer than 0.1° are merged.

Top 6 peaks for 10 to 90 degrees two-theta, in order of rising 2θ:
2θ 31.22, intensity 100
2θ 36.07, intensity 17
2θ 36.27, intensity 33
2θ 52.08, intensity 24
2θ 61.86, intensity 14
2θ 62.12, intensity 28

Unit cell a=10.508 b=10.508 c=4.980 alpha=90.00 beta=90.00 gamma=90.00
Sites, in units of the cell vectors:
Tb 0.000 0.333 0.000
Tb 0.000 0.667 0.000
Tb 0.164 0.164 0.500
Tb 0.167 0.500 0.500
Tb 0.333 0.000 0.000
Tb 0.336 0.664 0.000
Tb 0.500 0.167 0.500
Tb 0.500 0.833 0.500
Tb 0.664 0.336 0.000
Tb 0.667 0.000 0.000
Tb 0.833 0.500 0.500
Tb 0.836 0.836 0.500
Dy 0.165 0.835 0.500
Dy 0.335 0.335 0.000
Dy 0.665 0.665 0.000
Dy 0.835 0.165 0.500
Cd 0.000 0.000 0.000
Cd 0.500 0.500 0.500

---

(5)
This entry pairs a crystal structure of TcCl3O with its computed powder XRD pattern. Radiation: Cu Kα X-rays. Structure: a cell relaxed with GGA-PBE.
Lines closer than 0.1° are merged.

Top 6 peaks for 10 to 90 degrees two-theta, in order of rising 2θ:
2θ 11.24, intensity 94
2θ 14.52, intensity 100
2θ 17.51, intensity 69
2θ 18.79, intensity 95
2θ 20.94, intensity 38
2θ 26.38, intensity 82

Unit cell a=15.744 b=5.903 c=6.619 alpha=90.00 beta=90.00 gamma=90.00
Sites, in units of the cell vectors:
Tc 0.062 0.250 0.097
Tc 0.438 0.750 0.597
Tc 0.562 0.250 0.403
Tc 0.938 0.750 0.903
Cl 0.114 0.501 0.331
Cl 0.114 0.999 0.331
Cl 0.164 0.250 0.866
Cl 0.336 0.750 0.366
Cl 0.386 0.001 0.831
Cl 0.386 0.499 0.831
Cl 0.614 0.501 0.169
Cl 0.614 0.999 0.169
Cl 0.664 0.250 0.634
Cl 0.836 0.750 0.134
Cl 0.886 0.001 0.669
Cl 0.886 0.499 0.669
O 0.000 0.000 0.000
O 0.000 0.500 0.000
O 0.500 0.000 0.500
O 0.500 0.500 0.500

---

(6)
This entry pairs a crystal structure of KAl11O17 with its computed powder XRD pattern. Radiation: Cu Kα X-rays. Structure: a cell relaxed with GGA-PBE.
Lines closer than 0.1° are merged.

Top 6 peaks for 10 to 90 degrees two-theta, in order of rising 2θ:
2θ 15.40, intensity 78
2θ 31.70, intensity 100
2θ 33.94, intensity 67
2θ 35.39, intensity 90
2θ 45.44, intensity 95
2θ 66.15, intensity 89

Unit cell a=11.958 b=11.958 c=11.958 alpha=27.33 beta=27.33 gamma=27.33
Sites, in units of the cell vectors:
K 0.000 0.000 0.000
Al 0.073 0.073 0.575
Al 0.073 0.575 0.073
Al 0.170 0.170 0.170
Al 0.268 0.268 0.763
Al 0.268 0.763 0.268
Al 0.520 0.520 0.520
Al 0.575 0.073 0.073
Al 0.621 0.621 0.621
Al 0.720 0.720 0.720
Al 0.763 0.268 0.268
Al 0.820 0.820 0.820
O 0.077 0.077 0.077
O 0.077 0.573 0.573
O 0.262 0.769 0.769
O 0.264 0.264 0.264
O 0.360 0.360 0.889
O 0.360 0.889 0.360
O 0.451 0.981 0.981
O 0.467 0.467 0.467
O 0.573 0.077 0.573
O 0.573 0.573 0.077
O 0.670 0.670 0.670
O 0.769 0.262 0.769
O 0.769 0.769 0.262
O 0.874 0.874 0.874
O 0.889 0.360 0.360
O 0.981 0.451 0.981
O 0.981 0.981 0.451

---

(7)
This entry pairs a crystal structure of Cs2K4TlAs2 with its computed powder XRD pattern. Radiation: Cu Kα X-rays. Structure: a cell relaxed with GGA-PBE.
Lines closer than 0.1° are merged.

Top 6 peaks for 10 to 90 degrees two-theta, in order of rising 2θ:
2θ 17.19, intensity 50
2θ 18.79, intensity 51
2θ 25.58, intensity 97
2θ 29.73, intensity 100
2θ 32.77, intensity 39
2θ 38.07, intensity 32

Unit cell a=9.505 b=9.505 c=9.505 alpha=146.57 beta=120.42 gamma=70.06
Sites, in units of the cell vectors:
Cs 0.133 0.133 0.000
Cs 0.867 0.867 0.000
K 0.155 0.350 0.806
K 0.456 0.650 0.806
K 0.544 0.350 0.194
K 0.845 0.650 0.194
Tl 0.500 0.000 0.500
As 0.288 0.788 0.500
As 0.712 0.212 0.500

---

(8)
This entry pairs a crystal structure of Rb2Tl2PbBr6 with its computed powder XRD pattern. Radiation: Cu Kα X-rays. Structure: a cell relaxed with GGA-PBE.
Lines closer than 0.1° are merged.

Top 6 peaks for 10 to 90 degrees two-theta, in order of rising 2θ:
2θ 12.59, intensity 47
2θ 17.21, intensity 24
2θ 26.08, intensity 52
2θ 26.64, intensity 100
2θ 36.61, intensity 38
2θ 38.62, intensity 37

Unit cell a=8.251 b=8.251 c=8.068 alpha=100.37 beta=100.37 gamma=116.82
Sites, in units of the cell vectors:
Rb 0.159 0.841 0.000
Rb 0.841 0.159 0.000
Tl 0.323 0.677 0.500
Tl 0.677 0.323 0.500
Pb 0.500 0.500 0.000
Br 0.120 0.431 0.766
Br 0.295 0.295 0.244
Br 0.431 0.120 0.766
Br 0.569 0.880 0.234
Br 0.705 0.705 0.756
Br 0.880 0.569 0.234

---

(9)
This entry pairs a crystal structure of CdNi4Pt5 with its computed powder XRD pattern. Radiation: Cu Kα X-rays. Structure: a cell relaxed with GGA-PBE.
Lines closer than 0.1° are merged.

Top 6 peaks for 10 to 90 degrees two-theta, in order of rising 2θ:
2θ 24.02, intensity 17
2θ 32.29, intensity 20
2θ 40.64, intensity 100
2θ 46.31, intensity 39
2θ 69.85, intensity 14
2θ 81.93, intensity 26

Unit cell a=2.773 b=2.773 c=18.528 alpha=90.00 beta=90.00 gamma=90.00
Sites, in units of the cell vectors:
Cd 0.000 0.000 0.000
Ni 0.000 0.000 0.213
Ni 0.000 0.000 0.404
Ni 0.000 0.000 0.596
Ni 0.000 0.000 0.787
Pt 0.500 0.500 0.117
Pt 0.500 0.500 0.308
Pt 0.500 0.500 0.500
Pt 0.500 0.500 0.692
Pt 0.500 0.500 0.883

---

(10)
This entry pairs a crystal structure of Ga3NiAu with its computed powder XRD pattern. Radiation: Cu Kα X-rays. Structure: a cell relaxed with GGA-PBE.
Lines closer than 0.1° are merged.

Top 6 peaks for 10 to 90 degrees two-theta, in order of rising 2θ:
2θ 19.76, intensity 15
2θ 26.66, intensity 25
2θ 33.58, intensity 24
2θ 41.65, intensity 100
2θ 43.33, intensity 24
2θ 43.99, intensity 24

Unit cell a=9.221 b=9.221 c=9.221 alpha=154.20 beta=91.31 gamma=94.40
Sites, in units of the cell vectors:
Ga 0.011 0.159 0.852
Ga 0.139 0.503 0.635
Ga 0.193 0.841 0.352
Ga 0.296 0.163 0.132
Ga 0.368 0.503 0.865
Ga 0.469 0.837 0.632
Ga 0.531 0.163 0.368
Ga 0.632 0.497 0.135
Ga 0.704 0.837 0.868
Ga 0.807 0.159 0.648
Ga 0.861 0.497 0.365
Ga 0.989 0.841 0.148
Ni 0.259 0.009 0.250
Ni 0.422 0.672 0.750
Ni 0.578 0.328 0.250
Ni 0.741 0.991 0.750
Au 0.149 0.661 0.488
Au 0.327 0.339 0.988
Au 0.673 0.661 0.012
Au 0.851 0.339 0.512

---

(11)
This entry pairs a crystal structure of RbRh with its computed powder XRD pattern. Radiation: Cu Kα X-rays. Structure: a cell relaxed with GGA-PBE.
Lines closer than 0.1° are merged.

Top 6 peaks for 10 to 90 degrees two-theta, in order of rising 2θ:
2θ 15.87, intensity 80
2θ 25.61, intensity 28
2θ 28.04, intensity 37
2θ 29.09, intensity 41
2θ 31.17, intensity 100
2θ 33.92, intensity 49

Unit cell a=6.631 b=8.171 c=10.366 alpha=90.00 beta=90.00 gamma=90.00
Sites, in units of the cell vectors:
Rb 0.061 0.104 0.000
Rb 0.126 0.652 0.135
Rb 0.374 0.348 0.635
Rb 0.439 0.896 0.500
Rb 0.561 0.396 0.000
Rb 0.626 0.848 0.865
Rb 0.874 0.152 0.365
Rb 0.939 0.604 0.500
Rh 0.020 0.995 0.674
Rh 0.129 0.753 0.779
Rh 0.371 0.247 0.279
Rh 0.480 0.005 0.174
Rh 0.520 0.505 0.326
Rh 0.629 0.747 0.221
Rh 0.871 0.253 0.721
Rh 0.980 0.495 0.826

---

(12)
This entry pairs a crystal structure of Ba2NdNpS6 with its computed powder XRD pattern. Radiation: Cu Kα X-rays. Structure: a cell relaxed with GGA-PBE.
Lines closer than 0.1° are merged.

Top 6 peaks for 10 to 90 degrees two-theta, in order of rising 2θ:
2θ 23.50, intensity 23
2θ 24.05, intensity 100
2θ 24.50, intensity 24
2θ 34.21, intensity 30
2θ 34.35, intensity 19
2θ 42.77, intensity 21

Unit cell a=7.267 b=7.570 c=12.702 alpha=90.00 beta=124.69 gamma=90.00
Sites, in units of the cell vectors:
Ba 0.232 0.064 0.250
Ba 0.232 0.436 0.750
Ba 0.768 0.564 0.250
Ba 0.768 0.936 0.750
Nd 0.500 0.000 0.000
Nd 0.500 0.500 0.500
Np 0.000 0.000 0.500
Np 0.000 0.500 0.000
S 0.142 0.213 0.951
S 0.142 0.287 0.451
S 0.242 0.694 0.953
S 0.242 0.806 0.453
S 0.330 0.024 0.740
S 0.330 0.476 0.240
S 0.670 0.524 0.760
S 0.670 0.976 0.260
S 0.758 0.194 0.547
S 0.758 0.306 0.047
S 0.858 0.713 0.549
S 0.858 0.787 0.049